This entry pairs a crystal structure of ScW3O with its theoretical X-ray diffraction stick pattern. Radiation: a wavelength of 1.5418 Å. Structure: a structure optimized by DFT (PBE+U).
No peak broadening, texture or thermal motion is included.

Main lines, in order of rising 2θ (2θ = 15–90°):
- 2θ = 20.57°, d 4.319, I = 21.8, hkl 1 0 0
- 2θ = 29.25°, d 3.054, I = 11.0, hkl 1 1 0
- 2θ = 36.02°, d 2.493, I = 100.0, hkl 1 1 1
- 2θ = 41.83°, d 2.159, I = 55.4, hkl 2 0 0
- 2θ = 47.05°, d 1.931, I = 10.3, hkl 2 1 0
- 2θ = 51.86°, d 1.763, I = 5.1, hkl 2 1 1
- 2θ = 60.65°, d 1.527, I = 36.8, hkl 2 2 0
- 2θ = 64.76°, d 1.440, I = 5.0, hkl 3 0 0
- 2θ = 68.74°, d 1.366, I = 2.4, hkl 3 1 0
- 2θ = 72.61°, d 1.302, I = 39.8, hkl 3 1 1
- 2θ = 76.40°, d 1.247, I = 12.5, hkl 2 2 2
- 2θ = 83.81°, d 1.154, I = 2.9, hkl 3 2 1

Structure:
```
data_ScW3O
_cell_length_a 4.3186
_cell_length_b 4.3186
_cell_length_c 4.3186
_cell_angle_alpha 90.00
_cell_angle_beta 90.00
_cell_angle_gamma 90.00
_space_group_name_H-M_alt 'P m -3 m'
_space_group_IT_number 221
_space_group_name_Hall '-P 4 2 3'
loop_
_atom_site_label
_atom_site_type_symbol
_atom_site_fract_x
_atom_site_fract_y
_atom_site_fract_z
Sc1 Sc 0.0000 0.0000 0.0000
W1 W 0.0000 0.5000 0.5000
O1 O 0.5000 0.5000 0.5000
```